This entry pairs a crystal structure of NaLiEr2F8 with its simulated X-ray powder pattern. Radiation: Cu Kα. Structure: a crystal structure in the Materials Project, relaxed with PBE.
Neutral-atom scattering factors, no anomalous dispersion.

Peak list (8 most intense, 5 to 70 degrees two-theta, low angle first)
(2 0 0), 16.84 deg, I = 49.2
(1 1 1), 18.46 deg, I = 44.7
(0 2 0), 21.29 deg, I = 75.9
(0 0 2), 25.14 deg, I = 56.2
(2 2 0), 27.27 deg, I = 31.3
(3 1 1), 30.38 deg, I = 100.0
(0 4 0), 43.42 deg, I = 51.9
(3 1 3), 47.68 deg, I = 36.6

```
data_NaLiEr2F8
_chemical_formula_sum 'Na4 Li4 Er8 F32'
_cell_length_a 10.528
_cell_length_b 8.346
_cell_length_c 7.083
_cell_angle_alpha 90.00
_cell_angle_beta 90.00
_cell_angle_gamma 90.00
_space_group_name_H-M_alt 'C m c m'
_space_group_IT_number 63
_space_group_name_Hall '-C 2c 2'
loop_
_atom_site_label
_atom_site_fract_x
_atom_site_fract_y
_atom_site_fract_z
Na1 0.000 0.155 0.250
Li1 0.000 0.500 0.000
Er1 0.187 0.237 0.750
F1 0.000 0.112 0.750
F2 0.000 0.411 0.750
F3 0.139 0.296 0.050
F4 0.220 0.026 0.250
```


This entry pairs a crystal structure of AlC4NCl2 with its simulated X-ray powder pattern. Radiation: Cu Kα. Structure: a crystal structure in the Materials Project, relaxed with PBE.
Neutral-atom scattering factors, no anomalous dispersion.

Peak list (8 most intense, 5 to 70 degrees two-theta, low angle first)
(0 1 1), 13.93 deg, I = 100.0
(1 1 0), 17.81 deg, I = 67.6
(0 2 0), 17.92 deg, I = 71.0
(1 1 1), 21.27 deg, I = 34.5
(0 0 2), 21.44 deg, I = 46.2
(1 2 -1), 25.69 deg, I = 32.8
(1 2 1), 26.43 deg, I = 30.7
(1 0 2), 27.27 deg, I = 33.7

```
data_AlC4NCl2
_chemical_formula_sum 'Al2 C8 N2 Cl4'
_cell_length_a 5.770
_cell_length_b 9.901
_cell_length_c 8.303
_cell_angle_alpha 90.00
_cell_angle_beta 93.33
_cell_angle_gamma 90.00
_space_group_name_H-M_alt 'P 1 21 1'
_space_group_IT_number 4
loop_
_space_group_symop_operation_xyz
'x,y,z'
'-x,y+1/2,-z'
loop_
_atom_site_label
_atom_site_fract_x
_atom_site_fract_y
_atom_site_fract_z
Al1 0.157 0.000 0.227
C1 0.286 0.056 0.023
C2 0.326 0.053 0.429
C3 0.332 0.065 0.876
C4 0.355 0.064 0.582
N1 0.369 0.070 0.731
Cl1 0.151 0.784 0.216
Cl2 0.180 0.589 0.755
```